LiFeP3O9: simulated XRD peak list (Cu Ka), based on a GGA+U-relaxed structure.
Intensities are scaled so that the largest is 100.

Peak list (10 most intense, 10° ≤ 2θ ≤ 90°, by angle)
- (0 1 0), 2θ = 15.9°, d = 5.578 Å, intensity 100.0
- (1 0 0), 2θ = 16.0°, d = 5.534 Å, intensity 49.8
- (1 0 -1), 2θ = 17.1°, d = 5.191 Å, intensity 56.1
- (1 -1 0), 2θ = 17.2°, d = 5.163 Å, intensity 27.5
- (1 -2 0), 2θ = 29.1°, d = 3.069 Å, intensity 22.5
- (0 1 -2), 2θ = 29.2°, d = 3.057 Å, intensity 16.7
- (0 2 0), 2θ = 32.0°, d = 2.795 Å, intensity 13.2
- (0 0 2), 2θ = 32.2°, d = 2.783 Å, intensity 12.5
- (2 0 0), 2θ = 32.4°, d = 2.767 Å, intensity 12.5
- (2 1 -2), 2θ = 38.2°, d = 2.355 Å, intensity 11.5

Structural model:
```
data_LiFeP3O9
_chemical_formula_sum 'Li1 Fe1 P3 O9'
_cell_length_a 6.4066
_cell_length_b 6.4445
_cell_length_c 6.4500
_cell_angle_alpha 107.12
_cell_angle_beta 107.87
_cell_angle_gamma 106.95
_symmetry_space_group_name_H-M 'P 1'
_symmetry_Int_Tables_number 1
loop_
_symmetry_equiv_pos_as_xyz
'x,y,z'
loop_
_atom_site_label
_atom_site_type_symbol
_atom_site_fract_x
_atom_site_fract_y
_atom_site_fract_z
Li1 Li 0.0000 0.0000 0.0000
Fe1 Fe 0.3673 0.3635 0.3681
P1 P 0.2991 0.8587 0.4356
P2 P 0.4293 0.2963 0.8578
P3 P 0.8597 0.4338 0.2953
O1 O 0.0582 0.7057 0.4540
O2 O 0.2241 0.9728 0.2697
O3 O 0.2687 0.2257 0.9765
O4 O 0.3759 0.4277 0.7066
O5 O 0.4379 0.7133 0.3937
O6 O 0.4527 0.0588 0.7090
O7 O 0.7052 0.4553 0.0563
O8 O 0.7092 0.3812 0.4262
O9 O 0.9781 0.2718 0.2237
```